[1]
The following is a computed X-ray powder pattern of Na2Sr4I9. It was derived from the GGA-PBE geometry in Alexandria, using Cu Ka.
Peak positions follow from Bragg's law for the DFT cell and can differ from measured ones.

Most intense lines, 5° ≤ 2θ ≤ 70°, in order of falling intensity:
d/Å	intensity	hkl
3.632	100	2 1 3
2.814	47	1 2 6
2.377	37	3 3 0
2.181	24	1 2 -9
1.989	16	2 4 3
1.525	12	5 4 -3
3.856	12	0 0 6
6.070	12	1 0 -2
1.816	11	2 -2 6
1.443	10	4 5 -6

Cell and atoms:
Cell lengths 8.232, 8.234, 23.138 Å; angles 89.98, 89.97, 60.01 degrees
Space group P-1 (No. 2)
Unique sites:
Na  0.000  0.000  0.158 [2 per cell]
Na  0.000  0.000  0.342 [2 per cell]
Sr  0.333  0.333  0.009 [2 per cell]
Sr  0.333  0.333  0.322 [2 per cell]
Sr  0.334  0.333  0.822 [2 per cell]
Sr  0.334  0.334  0.509 [2 per cell]
I  0.000  0.310  0.750 [2 per cell]
I  0.023  0.331  0.416 [2 per cell]
I  0.023  0.645  0.916 [2 per cell]
I  0.309  0.000  0.250 [2 per cell]
I  0.310  0.690  0.750 [2 per cell]
I  0.332  0.023  0.916 [2 per cell]
I  0.332  0.646  0.416 [2 per cell]
I  0.354  0.669  0.084 [2 per cell]
I  0.355  0.977  0.584 [2 per cell]



[2]
The following is a computed X-ray powder pattern of Na2Sr2I. It was derived from the GGA-PBE geometry in Alexandria, using Cu Ka.
Peak positions follow from Bragg's law for the DFT cell and can differ from measured ones.

Most intense lines, 5° ≤ 2θ ≤ 70°, in order of falling intensity:
d/Å	intensity	hkl
5.868	100	0 0 1
3.332	93	2 1 1
2.862	63	3 1 0
2.573	57	3 1 1
2.049	48	3 1 2
2.934	36	0 0 2
4.325	32	1 1 1
2.810	28	2 2 1
1.615	26	3 1 3
4.048	24	2 1 0

Cell and atoms:
Cell lengths 9.052, 9.052, 5.868 Å; angles 90.00, 90.00, 90.00 degrees
Space group P4/mbm (No. 127)
Unique sites:
Na  0.135  0.365  0.000 [4 per cell]
Sr  0.165  0.665  0.500 [4 per cell]
I  0.000  0.000  0.500 [2 per cell]